Simulated powder XRD pattern of CaCr2BiO6 for CuKα, from the PBE+U geometry in Alexandria.
Lines closer than 0.1° are merged.

Top 8 peaks for 2θ from 10° to 90°, in order of rising 2θ:
| 2θ/deg | I/Imax | hkl |
| --- | --- | --- |
| 19.81 | 58.6 | 1 1 0 |
| 22.91 | 15.6 | 0 2 0 |
| 32.63 | 100.0 | 0 2 1 |
| 38.41 | 18.1 | 1 1 1 |
| 38.50 | 19.0 | 3 1 -1 |
| 40.24 | 15.9 | 2 2 -2 |
| 46.86 | 19.4 | 4 0 -2 |
| 58.23 | 22.1 | 2 4 -2 |

a = 7.7499 Å, b = 7.7616 Å, c = 5.4831 Å
α = 90.00°, β = 134.82°, γ = 90.00°
Space group Cm (No. 8)
Asymmetric unit:
Ca 0.0000 0.0000 0.0000 x2
Cr 0.4864 0.2476 0.4929 x4
Bi 0.4540 0.0000 0.9413 x2
O 0.0844 0.5000 0.6190 x2
O 0.2368 0.1927 0.4967 x4
O 0.2432 0.1892 0.9939 x4
O 0.3848 0.5000 0.4000 x2